1.
For V6GaFe, a cell relaxed with PBE gives the calculated X-ray powder pattern in this record (Cu Ka).
Peak positions follow from Bragg's law for the DFT cell and can differ from measured ones.

Main lines, by angle (15 to 90 degrees two-theta):
26.80°, 3.327 Å, intensity 4
32.97°, 2.716 Å, intensity 1
38.26°, 2.352 Å, intensity 48
42.99°, 2.104 Å, intensity 99
47.33°, 1.921 Å, intensity 100
62.42°, 1.488 Å, intensity 1
69.17°, 1.358 Å, intensity 4
72.42°, 1.305 Å, intensity 18
75.63°, 1.257 Å, intensity 45
81.90°, 1.176 Å, intensity 15

Structural model:
a b c (Å): 4.7050 4.7050 4.7050
angles (deg): 90.00 90.00 90.00
Space group Pm-3 (No. 200)
One atom of each set of equivalent atoms:
V  0.0000  0.2577  0.5000
Ga  0.0000  0.0000  0.0000
Fe  0.5000  0.5000  0.5000



2.
For V2GaFe, a cell relaxed with PBE gives the calculated X-ray powder pattern in this record (Cu Ka).
Peak positions follow from Bragg's law for the DFT cell and can differ from measured ones.

Main lines, by angle (15 to 90 degrees two-theta):
38.48°, 2.340 Å, intensity 64
39.00°, 2.309 Å, intensity 36
43.09°, 2.099 Å, intensity 33
43.36°, 2.087 Å, intensity 100
43.71°, 2.071 Å, intensity 64
47.58°, 1.911 Å, intensity 73
47.84°, 1.901 Å, intensity 73
47.98°, 1.896 Å, intensity 31
48.11°, 1.891 Å, intensity 31
82.44°, 1.170 Å, intensity 21

Structural model:
a b c (Å): 4.6184 6.6438 6.5922
angles (deg): 90.00 90.00 90.00
Space group Ama2 (No. 40)
One atom of each set of equivalent atoms:
V  0.0000  0.0000  0.0000
V  0.2500  0.1170  0.6278
Ga  0.2500  0.2421  0.2554
Fe  0.2500  0.3720  0.8816



3.
For Zn2GaFe6, a cell relaxed with PBE gives the calculated X-ray powder pattern in this record (Cu Ka).
Peak positions follow from Bragg's law for the DFT cell and can differ from measured ones.

Main lines, by angle (15 to 90 degrees two-theta):
41.46°, 2.178 Å, intensity 64
42.20°, 2.141 Å, intensity 54
43.08°, 2.100 Å, intensity 50
44.94°, 2.017 Å, intensity 100
49.69°, 1.835 Å, intensity 33
54.99°, 1.670 Å, intensity 23
66.01°, 1.415 Å, intensity 13
71.78°, 1.315 Å, intensity 10
78.08°, 1.224 Å, intensity 17
79.69°, 1.203 Å, intensity 16

Structural model:
a b c (Å): 4.4416 13.0667 4.3435
angles (deg): 90.00 117.58 90.00
Space group C2/m (No. 12)
One atom of each set of equivalent atoms:
Zn  0.0000  0.1665  0.0000
Ga  0.0000  0.0000  0.5000
Fe  0.1533  0.5000  0.8290
Fe  0.1595  0.3337  0.3370



4.
For Zr3Ga4Fe2, a cell relaxed with PBE gives the calculated X-ray powder pattern in this record (Cu Ka).
Peak positions follow from Bragg's law for the DFT cell and can differ from measured ones.

Main lines, by angle (15 to 90 degrees two-theta):
34.42°, 2.605 Å, intensity 20
34.63°, 2.590 Å, intensity 9
35.72°, 2.513 Å, intensity 14
36.04°, 2.492 Å, intensity 68
36.61°, 2.455 Å, intensity 34
36.86°, 2.439 Å, intensity 31
43.63°, 2.075 Å, intensity 100
53.75°, 1.705 Å, intensity 12
58.44°, 1.579 Å, intensity 15
80.17°, 1.197 Å, intensity 10

Structural model:
a b c (Å): 10.0683 4.1448 7.8734
angles (deg): 90.00 111.68 90.00
Space group C2/m (No. 12)
One atom of each set of equivalent atoms:
Zr  0.0000  0.0000  0.0000
Zr  0.1451  0.5000  0.6798
Ga  0.0750  0.0000  0.3898
Ga  0.2109  0.5000  0.0684
Fe  0.1817  0.5000  0.3582



5.
For Zr2Ga8Fe, a cell relaxed with PBE gives the calculated X-ray powder pattern in this record (Cu Ka).
Peak positions follow from Bragg's law for the DFT cell and can differ from measured ones.

Main lines, by angle (15 to 90 degrees two-theta):
34.95°, 2.567 Å, intensity 38
39.70°, 2.270 Å, intensity 100
41.52°, 2.175 Å, intensity 19
43.97°, 2.059 Å, intensity 54
62.06°, 1.495 Å, intensity 23
63.93°, 1.456 Å, intensity 17
74.98°, 1.267 Å, intensity 8
77.49°, 1.232 Å, intensity 14
77.95°, 1.226 Å, intensity 26
79.15°, 1.210 Å, intensity 11

Structural model:
a b c (Å): 4.1186 4.1186 10.8756
angles (deg): 90.00 90.00 90.00
Space group P4/mmm (No. 123)
One atom of each set of equivalent atoms:
Zr  0.0000  0.0000  0.1909
Ga  0.0000  0.5000  0.0000
Ga  0.0000  0.5000  0.3809
Ga  0.5000  0.5000  0.1908
Fe  0.0000  0.0000  0.5000



6.
For Zr2Ga4Fe3, a cell relaxed with PBE gives the calculated X-ray powder pattern in this record (Cu Ka).
Peak positions follow from Bragg's law for the DFT cell and can differ from measured ones.

Main lines, by angle (15 to 90 degrees two-theta):
35.46°, 2.532 Å, intensity 31
36.24°, 2.479 Å, intensity 31
41.66°, 2.168 Å, intensity 32
41.81°, 2.161 Å, intensity 100
43.54°, 2.078 Å, intensity 20
43.80°, 2.067 Å, intensity 36
46.19°, 1.965 Å, intensity 24
68.01°, 1.378 Å, intensity 22
74.74°, 1.270 Å, intensity 20
75.10°, 1.265 Å, intensity 23

Structural model:
a b c (Å): 5.0630 8.7582 12.4704
angles (deg): 90.00 90.00 90.00
Space group Fmmm (No. 69)
One atom of each set of equivalent atoms:
Zr  0.0000  0.0000  0.1238
Ga  0.0000  0.1639  0.3329
Fe  0.0000  0.0000  0.5000
Fe  0.2500  0.2500  0.0000



7.
For Gd2Fe17, a cell relaxed with PBE gives the calculated X-ray powder pattern in this record (Cu Ka).
Peak positions follow from Bragg's law for the DFT cell and can differ from measured ones.

Main lines, by angle (15 to 90 degrees two-theta):
30.15°, 2.964 Å, intensity 40
36.74°, 2.446 Å, intensity 42
37.91°, 2.373 Å, intensity 25
42.69°, 2.118 Å, intensity 60
42.92°, 2.107 Å, intensity 100
43.66°, 2.073 Å, intensity 48
48.24°, 1.887 Å, intensity 18
62.71°, 1.482 Å, intensity 26
78.17°, 1.223 Å, intensity 22
79.64°, 1.204 Å, intensity 18

Structural model:
a b c (Å): 8.4728 8.4728 12.4473
angles (deg): 90.00 90.00 120.00
Space group R-3m (No. 166, hexagonal axes)
One atom of each set of equivalent atoms:
Gd  0.0000  0.0000  0.1598
Fe  0.0000  0.0000  0.4037
Fe  0.0000  0.2943  0.5000
Fe  0.0000  0.5000  0.0000
Fe  0.0004  0.5002  0.3429



8.
For Gd2Fe17, a cell relaxed with PBE gives the calculated X-ray powder pattern in this record (Cu Ka).
Peak positions follow from Bragg's law for the DFT cell and can differ from measured ones.

Main lines, by angle (15 to 90 degrees two-theta):
30.18°, 2.961 Å, intensity 40
36.67°, 2.451 Å, intensity 41
40.94°, 2.204 Å, intensity 31
42.59°, 2.123 Å, intensity 60
42.90°, 2.108 Å, intensity 100
43.82°, 2.066 Å, intensity 31
48.20°, 1.888 Å, intensity 18
62.76°, 1.480 Å, intensity 17
77.96°, 1.225 Å, intensity 16
79.89°, 1.201 Å, intensity 18

Structural model:
a b c (Å): 8.4903 8.4903 8.2640
angles (deg): 90.00 90.00 120.00
Space group P6_3/mmc (No. 194)
One atom of each set of equivalent atoms:
Gd  0.0000  0.0000  0.2500
Gd  0.3333  0.6667  0.2500
Fe  0.0000  0.5000  0.0000
Fe  0.0409  0.3701  0.7500
Fe  0.1660  0.3321  0.0148
Fe  0.3333  0.6667  0.6066



9.
For Gd2Fe17H3, a cell relaxed with PBE gives the calculated X-ray powder pattern in this record (Cu Ka).
Peak positions follow from Bragg's law for the DFT cell and can differ from measured ones.

Main lines, by angle (15 to 90 degrees two-theta):
30.55°, 2.926 Å, intensity 43
36.88°, 2.437 Å, intensity 41
38.47°, 2.340 Å, intensity 30
42.84°, 2.111 Å, intensity 67
43.30°, 2.090 Å, intensity 100
44.26°, 2.047 Å, intensity 21
44.65°, 2.030 Å, intensity 42
48.62°, 1.873 Å, intensity 18
62.55°, 1.485 Å, intensity 20
63.59°, 1.463 Å, intensity 17

Structural model:
a b c (Å): 8.4428 8.4428 12.1815
angles (deg): 90.00 90.00 120.00
Space group R-3m (No. 166, hexagonal axes)
One atom of each set of equivalent atoms:
Gd  0.0000  0.0000  0.1548
Fe  0.0000  0.0000  0.4060
Fe  0.0000  0.2862  0.5000
Fe  0.0000  0.5000  0.0000
Fe  0.0058  0.5029  0.3426
H  0.0000  0.5000  0.5000



10.
For GdFe4Hg, a cell relaxed with PBE gives the calculated X-ray powder pattern in this record (Cu Ka).
Peak positions follow from Bragg's law for the DFT cell and can differ from measured ones.

Main lines, by angle (15 to 90 degrees two-theta):
21.33°, 4.165 Å, intensity 23
35.18°, 2.551 Å, intensity 73
41.51°, 2.175 Å, intensity 100
43.45°, 2.083 Å, intensity 12
55.52°, 1.655 Å, intensity 7
63.13°, 1.473 Å, intensity 27
67.45°, 1.388 Å, intensity 31
74.38°, 1.275 Å, intensity 22
85.04°, 1.141 Å, intensity 12
88.97°, 1.100 Å, intensity 11

Structural model:
a b c (Å): 7.2146 7.2146 7.2146
angles (deg): 90.00 90.00 90.00
Space group F-43m (No. 216)
One atom of each set of equivalent atoms:
Gd  0.0000  0.0000  0.0000
Fe  0.1251  0.1251  0.3749
Hg  0.2500  0.2500  0.7500